# 1
This entry pairs a crystal structure of Ac7Ge3 with its simulated powder XRD pattern. Radiation: CuKα. Structure: a crystal structure in Alexandria, relaxed with PBE.
No peak broadening, texture or thermal motion is included.

```
data_Ac7Ge3
_cell_length_a 11.0078
_cell_length_b 11.0078
_cell_length_c 7.0218
_cell_angle_alpha 90.00
_cell_angle_beta 90.00
_cell_angle_gamma 120.00
_symmetry_space_group_name_H-M 'P 63 m c'
_symmetry_Int_Tables_number 186
_symmetry_space_group_name_Hall 'P 6c -2c'
loop_
_atom_site_label
_atom_site_fract_x
_atom_site_fract_y
_atom_site_fract_z
Ac1 0.0780 0.5390 0.0000
Ac2 0.1233 0.2466 0.2834
Ac3 0.3333 0.6667 0.4604
Ge1 0.1910 0.3820 0.7125
```

Top 6 peaks for 15° ≤ 2θ ≤ 90°, sorted by position:
2theta	intensity	h k l
27.07	46	1 0 2
27.83	100	2 1 1
30.89	51	3 0 1
31.65	39	2 0 2
32.54	26	2 2 0
49.08	29	3 2 2

# 2
This entry pairs a crystal structure of Ac4Ge3 with its simulated powder XRD pattern. Radiation: CuKα. Structure: a crystal structure in Alexandria, relaxed with PBE.
No peak broadening, texture or thermal motion is included.

```
data_Ac4Ge3
_cell_length_a 9.7824
_cell_length_b 9.7824
_cell_length_c 9.7824
_cell_angle_alpha 90.00
_cell_angle_beta 90.00
_cell_angle_gamma 90.00
_symmetry_space_group_name_H-M 'I -4 3 d'
_symmetry_Int_Tables_number 220
_symmetry_space_group_name_Hall 'I -4bd 2c 3'
loop_
_atom_site_label
_atom_site_fract_x
_atom_site_fract_y
_atom_site_fract_z
Ac1 0.0642 0.0642 0.0642
Ge1 0.0000 0.2500 0.3750
```

Top 6 peaks for 15° ≤ 2θ ≤ 90°, sorted by position:
2theta	intensity	h k l
22.26	22	2 1 1
25.76	26	2 2 0
28.86	100	3 1 0
34.30	61	3 2 1
47.39	45	4 3 1
58.13	22	6 1 1

# 3
This entry pairs a crystal structure of Ac5Ge6 with its simulated powder XRD pattern. Radiation: CuKα. Structure: a crystal structure in Alexandria, relaxed with PBE.
No peak broadening, texture or thermal motion is included.

```
data_Ac5Ge6
_cell_length_a 4.2760
_cell_length_b 31.3507
_cell_length_c 4.7879
_cell_angle_alpha 90.00
_cell_angle_beta 90.00
_cell_angle_gamma 90.00
_symmetry_space_group_name_H-M 'C m m m'
_symmetry_Int_Tables_number 65
_symmetry_space_group_name_Hall '-C 2 2'
loop_
_atom_site_label
_atom_site_fract_x
_atom_site_fract_y
_atom_site_fract_z
Ac1 0.0000 0.0000 0.0000
Ac2 0.0000 0.1976 0.5000
Ac3 0.0000 0.3873 0.0000
Ge1 0.0000 0.0929 0.5000
Ge2 0.0000 0.2781 0.0000
Ge3 0.0000 0.4586 0.5000
```

Top 6 peaks for 15° ≤ 2θ ≤ 90°, sorted by position:
2theta	intensity	h k l
25.21	40	1 5 0
28.47	25	0 10 0
29.28	100	1 3 1
29.45	53	0 8 1
34.52	25	1 7 1
37.57	30	0 0 2

# 4
This entry pairs a crystal structure of Ac3GeH3 with its simulated powder XRD pattern. Radiation: CuKα. Structure: a crystal structure in Alexandria, relaxed with PBE.
No peak broadening, texture or thermal motion is included.

```
data_Ac3GeH3
_cell_length_a 8.9356
_cell_length_b 8.9356
_cell_length_c 4.6032
_cell_angle_alpha 90.00
_cell_angle_beta 90.00
_cell_angle_gamma 120.00
_symmetry_space_group_name_H-M 'P 63/m'
_symmetry_Int_Tables_number 176
_symmetry_space_group_name_Hall '-P 6c'
loop_
_atom_site_label
_atom_site_fract_x
_atom_site_fract_y
_atom_site_fract_z
Ac1 0.0833 0.3711 0.2500
Ge1 0.3333 0.6667 0.7500
H1 0.0494 0.2332 0.7500
```

Top 6 peaks for 15° ≤ 2θ ≤ 90°, sorted by position:
2theta	intensity	h k l
27.83	100	1 1 1
30.17	55	2 0 1
30.56	47	1 2 0
46.70	23	3 1 1
50.46	24	1 2 2
55.47	28	2 3 1

# 5
This entry pairs a crystal structure of AcGeH2Ir2 with its simulated powder XRD pattern. Radiation: CuKα. Structure: a crystal structure in Alexandria, relaxed with PBE.
No peak broadening, texture or thermal motion is included.

```
data_AcGeH2Ir2
_cell_length_a 6.0904
_cell_length_b 5.6343
_cell_length_c 6.1218
_cell_angle_alpha 90.00
_cell_angle_beta 101.23
_cell_angle_gamma 90.00
_symmetry_space_group_name_H-M 'P 1 21/m 1'
_symmetry_Int_Tables_number 11
loop_
_symmetry_equiv_pos_as_xyz
'x,y,z'
'-x,-y,-z'
'-x,y+1/2,-z'
'x,-y+1/2,z'
loop_
_atom_site_label
_atom_site_fract_x
_atom_site_fract_y
_atom_site_fract_z
Ac1 0.1964 0.2500 0.3027
Ge1 0.3728 0.7500 0.1224
H1 0.1065 0.2500 0.7621
H2 0.2677 0.7500 0.6051
Ir1 0.2865 0.0002 0.7835
```

Top 6 peaks for 15° ≤ 2θ ≤ 90°, sorted by position:
2theta	intensity	h k l
21.66	48	0 1 1
24.61	33	1 1 -1
29.76	63	0 0 2
29.91	61	2 0 0
37.17	79	1 2 -1
39.55	100	1 2 1

# 6
This entry pairs a crystal structure of AcNi2GeH with its simulated powder XRD pattern. Radiation: CuKα. Structure: a crystal structure in Alexandria, relaxed with PBE.
No peak broadening, texture or thermal motion is included.

```
data_AcNi2GeH
_cell_length_a 4.0585
_cell_length_b 11.0819
_cell_length_c 6.8420
_cell_angle_alpha 90.00
_cell_angle_beta 90.00
_cell_angle_gamma 90.00
_symmetry_space_group_name_H-M 'C m c m'
_symmetry_Int_Tables_number 63
_symmetry_space_group_name_Hall '-C 2c 2'
loop_
_atom_site_label
_atom_site_fract_x
_atom_site_fract_y
_atom_site_fract_z
Ac1 0.0000 0.0674 0.2500
Ni1 0.0000 0.3311 0.0591
Ge1 0.0000 0.2161 0.7500
H1 0.0000 0.5000 0.0000
```

Top 6 peaks for 15° ≤ 2θ ≤ 90°, sorted by position:
2theta	intensity	h k l
23.34	44	1 1 0
34.94	72	0 4 1
35.25	98	1 1 2
35.38	100	1 3 1
52.25	35	1 3 3
57.92	34	2 4 1